Theoretical powder diffractogram of Te4Pd3Se2 for Cu Kα (λ = 1.5418 Å), from a PBE-relaxed structure.

The 12 most intense peaks (5° ≤ 2θ ≤ 70°), by angle:
8.93°, d 9.899, I 36.2; 13.42°, d 6.599, I 32.4; 27.16°, d 3.283, I 57.0; 30.41°, d 2.939, I 7.8; 35.52°, d 2.527, I 100.0; 38.69°, d 2.327, I 11.1; 42.17°, d 2.143, I 15.8; 45.91°, d 1.977, I 17.3; 48.00°, d 1.895, I 40.6; 49.91°, d 1.827, I 10.1; 61.12°, d 1.516, I 20.2; 68.57°, d 1.368, I 9.0

Structure:
Cell lengths 3.7906, 3.7906, 19.7975 Å; angles 90.00, 90.00, 120.00 degrees
Atoms (fractional coordinates):
Te1 0.0000 0.0000 0.1280
Te2 0.0000 0.0000 0.2920
Te3 0.0000 0.0000 0.7080
Te4 0.0000 0.0000 0.8720
Pd1 0.0000 0.0000 0.5000
Pd2 0.3333 0.6667 0.2113
Pd3 0.3333 0.6667 0.7887
Se1 0.3333 0.6667 0.4290
Se2 0.3333 0.6667 0.5710


Theoretical powder diffractogram of TePdSe2 for Cu Kα (λ = 1.5418 Å), from a PBE-relaxed structure.

The 12 most intense peaks (5° ≤ 2θ ≤ 70°), by angle:
11.24°, d 7.873, I 45.8; 22.59°, d 3.937, I 49.6; 22.77°, d 3.905, I 35.1; 25.46°, d 3.499, I 43.5; 29.06°, d 3.073, I 78.4; 29.72°, d 3.006, I 100.0; 35.30°, d 2.542, I 94.0; 44.20°, d 2.049, I 34.6; 44.66°, d 2.029, I 32.5; 48.00°, d 1.895, I 53.1; 48.15°, d 1.890, I 38.4; 59.99°, d 1.542, I 42.9

Structure:
Cell lengths 7.8738, 3.9055, 6.4781 Å; angles 90.00, 90.58, 90.00 degrees
Atoms (fractional coordinates):
Te1 0.0000 0.0000 0.0000
Te2 0.0000 0.0000 0.5000
Pd1 0.5000 0.2452 0.2500
Pd2 0.5000 0.7548 0.7500
Se1 0.3343 0.2461 0.5824
Se2 0.3343 0.7539 0.0824
Se3 0.6657 0.2461 0.9176
Se4 0.6657 0.7539 0.4176


Theoretical powder diffractogram of TePdSe for Cu Kα (λ = 1.5418 Å), from a PBE-relaxed structure.

The 12 most intense peaks (5° ≤ 2θ ≤ 70°), by angle:
17.56°, d 5.051, I 20.5; 31.03°, d 2.882, I 100.0; 32.44°, d 2.760, I 53.1; 42.98°, d 2.104, I 10.1; 43.80°, d 2.067, I 18.7; 45.29°, d 2.002, I 29.5; 45.71°, d 1.985, I 37.3; 45.90°, d 1.977, I 23.7; 48.29°, d 1.885, I 9.4; 57.32°, d 1.607, I 22.4; 59.48°, d 1.554, I 7.4; 62.23°, d 1.492, I 8.7

Structure:
Cell lengths 5.0625, 3.9549, 6.8999 Å; angles 90.00, 93.82, 90.00 degrees
Atoms (fractional coordinates):
Te1 0.2310 0.2500 0.3953
Te2 0.7690 0.7500 0.6047
Pd1 0.4956 0.2500 0.7596
Pd2 0.5044 0.7500 0.2404
Se1 0.2400 0.7500 0.8994
Se2 0.7600 0.2500 0.1006


Theoretical powder diffractogram of Te2Pd4Se for Cu Kα (λ = 1.5418 Å), from a PBE-relaxed structure.

The 12 most intense peaks (5° ≤ 2θ ≤ 70°), by angle:
13.03°, d 6.796, I 22.7; 26.04°, d 3.422, I 47.7; 29.22°, d 3.057, I 56.9; 37.15°, d 2.420, I 100.0; 37.29°, d 2.411, I 62.3; 37.96°, d 2.370, I 49.2; 39.79°, d 2.265, I 21.3; 53.55°, d 1.711, I 34.3; 54.17°, d 1.693, I 34.7; 55.57°, d 1.654, I 31.7; 67.07°, d 1.395, I 21.7; 68.75°, d 1.365, I 16.5

Structure:
Cell lengths 7.6091, 7.6091, 7.6091 Å; angles 142.91, 142.91, 53.46 degrees
Atoms (fractional coordinates):
Te1 0.1313 0.1313 0.0000
Te2 0.8687 0.8687 0.0000
Pd1 0.0000 0.5000 0.5000
Pd2 0.3209 0.3209 0.0000
Pd3 0.5000 0.0000 0.5000
Pd4 0.6791 0.6791 0.0000
Se1 0.5000 0.5000 0.0000


Theoretical powder diffractogram of TlPd5Se8 for Cu Kα (λ = 1.5418 Å), from a PBE-relaxed structure.

The 12 most intense peaks (5° ≤ 2θ ≤ 70°), by angle:
19.41°, d 4.573, I 29.9; 21.24°, d 4.183, I 19.6; 30.60°, d 2.921, I 100.0; 31.40°, d 2.849, I 51.9; 32.53°, d 2.752, I 44.9; 33.09°, d 2.707, I 25.4; 37.00°, d 2.430, I 29.2; 39.71°, d 2.270, I 63.1; 40.13°, d 2.247, I 23.8; 45.36°, d 1.999, I 43.2; 47.30°, d 1.922, I 43.5; 48.77°, d 1.867, I 73.8

Structure:
Cell lengths 9.8044, 9.8044, 8.6251 Å; angles 103.79, 103.79, 22.61 degrees
Atoms (fractional coordinates):
Tl1 0.0000 0.0000 0.0000
Pd1 0.1559 0.1559 0.4756
Pd2 0.2006 0.2006 0.8289
Pd3 0.4985 0.4985 0.4996
Pd4 0.7966 0.7966 0.1705
Pd5 0.8415 0.8415 0.5240
Se1 0.0666 0.0666 0.6664
Se2 0.2647 0.2647 0.3513
Se3 0.3279 0.3279 0.0035
Se4 0.4119 0.4119 0.6810
Se5 0.5853 0.5853 0.3187
Se6 0.6691 0.6691 0.9960
Se7 0.7326 0.7326 0.6485
Se8 0.9307 0.9307 0.3323


Theoretical powder diffractogram of Tl2PdSe2 for Cu Kα (λ = 1.5418 Å), from a PBE-relaxed structure.

The 12 most intense peaks (5° ≤ 2θ ≤ 70°), by angle:
23.78°, d 3.742, I 43.6; 27.47°, d 3.247, I 71.5; 29.75°, d 3.003, I 67.0; 31.33°, d 2.855, I 20.9; 32.01°, d 2.796, I 100.0; 36.64°, d 2.453, I 92.9; 38.44°, d 2.342, I 25.4; 48.66°, d 1.871, I 24.0; 50.96°, d 1.792, I 21.2; 54.06°, d 1.696, I 23.7; 56.77°, d 1.622, I 22.8; 58.09°, d 1.588, I 20.7

Structure:
Cell lengths 6.2247, 11.4193, 3.7421 Å; angles 90.00, 90.00, 90.00 degrees
Atoms (fractional coordinates):
Tl1 0.1102 0.1538 0.0000
Tl2 0.3898 0.6538 0.0000
Tl3 0.6102 0.3462 0.0000
Tl4 0.8898 0.8462 0.0000
Pd1 0.0000 0.5000 0.0000
Pd2 0.5000 0.0000 0.0000
Se1 0.1804 0.3900 0.5000
Se2 0.3196 0.8900 0.5000
Se3 0.6804 0.1100 0.5000
Se4 0.8196 0.6100 0.5000


Theoretical powder diffractogram of Zr2Tl3PdSe6 for Cu Kα (λ = 1.5418 Å), from a PBE-relaxed structure.

The 12 most intense peaks (5° ≤ 2θ ≤ 70°), by angle:
22.65°, d 3.926, I 15.8; 26.58°, d 3.353, I 14.8; 27.44°, d 3.250, I 13.3; 30.35°, d 2.945, I 100.0; 30.62°, d 2.920, I 48.2; 32.66°, d 2.742, I 15.0; 34.26°, d 2.617, I 10.4; 40.31°, d 2.238, I 18.8; 40.74°, d 2.215, I 35.6; 46.42°, d 1.956, I 49.4; 56.64°, d 1.625, I 16.8; 63.13°, d 1.473, I 10.0

Structure:
Cell lengths 6.7764, 6.7764, 8.1410 Å; angles 97.60, 97.60, 120.00 degrees
Atoms (fractional coordinates):
Zr1 0.1681 0.8319 0.0000
Zr2 0.8319 0.1681 0.0000
Tl1 0.0000 0.0000 0.5000
Tl2 0.3340 0.6660 0.5000
Tl3 0.6660 0.3340 0.5000
Pd1 0.5000 0.5000 0.0000
Se1 0.0971 0.4336 0.8016
Se2 0.2328 0.2328 0.1900
Se3 0.4336 0.0971 0.8016
Se4 0.5664 0.9029 0.1984
Se5 0.7672 0.7672 0.8100
Se6 0.9029 0.5664 0.1984


Theoretical powder diffractogram of Tm5PdSe4 for Cu Kα (λ = 1.5418 Å), from a PBE-relaxed structure.

The 12 most intense peaks (5° ≤ 2θ ≤ 70°), by angle:
26.61°, d 3.350, I 15.3; 27.38°, d 3.257, I 14.8; 31.12°, d 2.874, I 50.8; 31.35°, d 2.853, I 100.0; 43.93°, d 2.061, I 19.1; 44.76°, d 2.025, I 73.7; 45.91°, d 1.976, I 17.6; 53.86°, d 1.702, I 4.7; 54.81°, d 1.675, I 19.6; 56.51°, d 1.629, I 18.7; 64.89°, d 1.437, I 5.9; 65.42°, d 1.427, I 11.6

Structure:
Cell lengths 7.1027, 7.1027, 10.0454 Å; angles 118.87, 118.87, 32.31 degrees
Atoms (fractional coordinates):
Tm1 0.0000 0.0000 0.0000
Tm2 0.1944 0.1944 0.7910
Tm3 0.4078 0.4078 0.5955
Tm4 0.5922 0.5922 0.4045
Tm5 0.8056 0.8056 0.2090
Pd1 0.0000 0.0000 0.5000
Se1 0.1957 0.1957 0.2988
Se2 0.3948 0.3948 0.0890
Se3 0.6052 0.6052 0.9110
Se4 0.8043 0.8043 0.7012


Q: Number 3 is which compound?
A: TePdSe